No. 1
Starting from a crystal structure in Alexandria, relaxed with GGA-PBE, the powder XRD pattern of VCoS2 was calculated for λ = 1.5418 Å (Cu Kα).

Crystal structure
```
data_VCoS2
_symmetry_space_group_name_H-M 'P n m a'
_symmetry_Int_Tables_number 62
_symmetry_space_group_name_Hall '-P 2ac 2n'
_cell_length_a 5.588
_cell_length_b 3.181
_cell_length_c 12.616
_cell_angle_alpha 90.00
_cell_angle_beta 90.00
_cell_angle_gamma 90.00
loop_
_atom_site_label
_atom_site_fract_x
_atom_site_fract_y
_atom_site_fract_z
_atom_site_occupancy
V1 0.206 0.250 0.062 1
Co1 0.140 0.250 0.858 1
S1 0.153 0.250 0.428 1
S2 0.221 0.750 0.195 1
```

Principal peaks in the range 5° ≤ 2θ ≤ 70°, sorted by position:
2θ = 32.03°, I 70, (2 0 0)
2θ = 33.18°, I 42, (1 1 1)
2θ = 35.42°, I 100, (0 1 3)
2θ = 43.09°, I 71, (2 1 0)
2θ = 45.91°, I 95, (0 1 5)
2θ = 48.62°, I 47, (2 0 5)

---

No. 2
Starting from a crystal structure in Alexandria, relaxed with GGA-PBE, the powder XRD pattern of NdBiPtAu was calculated for λ = 1.5418 Å (Cu Kα).

Crystal structure
```
data_NdBiPtAu
_symmetry_space_group_name_H-M 'F -4 3 m'
_symmetry_Int_Tables_number 216
_symmetry_space_group_name_Hall 'F -4 2 3'
_cell_length_a 7.202
_cell_length_b 7.202
_cell_length_c 7.202
_cell_angle_alpha 90.00
_cell_angle_beta 90.00
_cell_angle_gamma 90.00
loop_
_atom_site_label
_atom_site_fract_x
_atom_site_fract_y
_atom_site_fract_z
_atom_site_occupancy
Nd1 0.000 0.000 0.000 1
Bi1 0.000 0.000 0.500 1
Pt1 0.250 0.250 0.750 1
Au1 0.250 0.250 0.250 1
```

Principal peaks in the range 5° ≤ 2θ ≤ 70°, sorted by position:
2θ = 21.37°, I 2, (1 1 1)
2θ = 35.25°, I 100, (2 2 0)
2θ = 41.59°, I 1, (3 1 1)
2θ = 50.70°, I 18, (4 0 0)
2θ = 63.26°, I 38, (4 2 2)

---

No. 3
Starting from a crystal structure in Alexandria, relaxed with GGA-PBE, the powder XRD pattern of Ta3Mo2Ir was calculated for λ = 1.5418 Å (Cu Kα).

Crystal structure
```
data_Ta3Mo2Ir
_symmetry_space_group_name_H-M 'P 4/m m m'
_symmetry_Int_Tables_number 123
_symmetry_space_group_name_Hall '-P 4 2'
_cell_length_a 3.242
_cell_length_b 3.242
_cell_length_c 9.555
_cell_angle_alpha 90.00
_cell_angle_beta 90.00
_cell_angle_gamma 90.00
loop_
_atom_site_label
_atom_site_fract_x
_atom_site_fract_y
_atom_site_fract_z
_atom_site_occupancy
Ta1 0.000 0.000 0.000 1
Ta2 0.000 0.000 0.331 1
Mo1 0.500 0.500 0.171 1
Ir1 0.500 0.500 0.500 1
```

Principal peaks in the range 5° ≤ 2θ ≤ 70°, sorted by position:
2θ = 9.26°, I 7, (0 0 1)
2θ = 27.51°, I 3, (1 0 0)
2θ = 39.30°, I 51, (1 1 0)
2θ = 39.67°, I 100, (1 0 3)
2θ = 56.79°, I 18, (2 0 0)
2θ = 57.91°, I 8, (0 0 6)

---

No. 4
Starting from a crystal structure in Alexandria, relaxed with GGA-PBE, the powder XRD pattern of TbSmPt was calculated for λ = 1.5418 Å (Cu Kα).

Crystal structure
```
data_TbSmPt
_symmetry_space_group_name_H-M 'P b c a'
_symmetry_Int_Tables_number 61
_symmetry_space_group_name_Hall '-P 2ac 2ab'
_cell_length_a 6.933
_cell_length_b 13.439
_cell_length_c 7.193
_cell_angle_alpha 90.00
_cell_angle_beta 90.00
_cell_angle_gamma 90.00
loop_
_atom_site_label
_atom_site_fract_x
_atom_site_fract_y
_atom_site_fract_z
_atom_site_occupancy
Tb1 0.003 0.031 0.239 1
Sm1 0.191 0.700 0.892 1
Pt1 0.225 0.104 0.542 1
```

Principal peaks in the range 5° ≤ 2θ ≤ 70°, sorted by position:
2θ = 22.18°, I 75, (1 2 1)
2θ = 28.98°, I 55, (2 2 0)
2θ = 31.59°, I 54, (2 2 1)
2θ = 32.11°, I 91, (1 4 1)
2θ = 35.98°, I 100, (2 0 2)
2θ = 44.33°, I 53, (1 6 1)

---

No. 5
Starting from a crystal structure in Alexandria, relaxed with GGA-PBE, the powder XRD pattern of La2Al5Zn3 was calculated for λ = 1.5418 Å (Cu Kα).

Crystal structure
```
data_La2Al5Zn3
_symmetry_space_group_name_H-M 'I b a m'
_symmetry_Int_Tables_number 72
_symmetry_space_group_name_Hall '-I 2 2c'
_cell_length_a 10.943
_cell_length_b 12.199
_cell_length_c 6.083
_cell_angle_alpha 90.00
_cell_angle_beta 90.00
_cell_angle_gamma 90.00
loop_
_atom_site_label
_atom_site_fract_x
_atom_site_fract_y
_atom_site_fract_z
_atom_site_occupancy
La1 0.248 0.126 0.000 1
Al1 0.000 0.256 0.250 1
Al2 0.000 0.500 0.250 1
Al3 0.134 0.123 0.500 1
Zn1 0.000 0.000 0.250 1
Zn2 0.137 0.378 0.000 1
```

Principal peaks in the range 5° ≤ 2θ ≤ 70°, sorted by position:
2θ = 29.32°, I 35, (0 4 0)
2θ = 32.16°, I 79, (3 2 1)
2θ = 33.68°, I 100, (2 0 2)
2θ = 41.95°, I 51, (0 4 2)
2θ = 46.55°, I 40, (5 2 1)
2θ = 64.44°, I 29, (5 2 3)